Tb2Co2I: computed XRD peak list (Cu Ka), based on a DFT-relaxed cell (PBE, the Materials Project).
Neutral-atom scattering factors, no anomalous dispersion.

Crystal structure
```
Tb2Co2I
1.0
3.9527 0.0000 0.0000
-1.9764 3.4232 0.0000
0.0000 0.0000 17.0442
Tb Co I
4 4 2
Cartesian
0.0000 0.0000 1.7647 Tb
0.0000 0.0000 6.7574 Tb
0.0000 0.0000 10.2868 Tb
0.0000 0.0000 15.2795 Tb
0.0000 2.2821 0.0264 Co
0.0000 2.2821 8.4957 Co
1.9764 1.1411 8.5486 Co
1.9764 1.1411 17.0178 Co
0.0000 2.2821 12.7832 I
1.9764 1.1411 4.2611 I
```

Largest 6 diffraction maxima, by angle, 2θ = 15–90°:
- 3.423 Å, 26.0 deg, intensity 22
- 2.669 Å, 33.6 deg, intensity 100
- 2.186 Å, 41.3 deg, intensity 19
- 1.976 Å, 45.9 deg, intensity 42
- 1.588 Å, 58.1 deg, intensity 20
- 1.238 Å, 77.0 deg, intensity 18


Tl2CoI4: computed XRD peak list (Cu Ka), based on a DFT-relaxed cell (PBE, the Materials Project).
Neutral-atom scattering factors, no anomalous dispersion.

Crystal structure
```
Tl2CoI4
1.0
7.7695 0.0000 0.0000
0.0000 8.1050 0.0000
-3.0751 0.0000 9.2419
Tl Co I
4 2 8
Cartesian
1.5417 2.0262 0.4737 Tl
0.2982 2.0262 5.2499 Tl
4.3962 6.0787 3.9920 Tl
3.1527 6.0787 8.7682 Tl
-0.7411 6.0787 7.3802 Co
5.4356 2.0262 1.8617 Co
-2.2232 4.0592 6.8104 I
-2.2232 8.0983 6.8104 I
2.8802 6.0787 0.6599 I
1.3120 6.0787 5.8171 I
3.3824 2.0262 3.4248 I
1.8142 2.0262 8.5820 I
6.9176 0.0067 2.4315 I
6.9176 4.0458 2.4315 I
```

Largest 6 diffraction maxima, by angle, 2θ = 15–90°:
- 3.551 Å, 25.1 deg, intensity 45
- 3.459 Å, 25.8 deg, intensity 95
- 3.182 Å, 28.0 deg, intensity 93
- 3.048 Å, 29.3 deg, intensity 100
- 2.727 Å, 32.8 deg, intensity 42
- 1.817 Å, 50.2 deg, intensity 37


Y6CoI10: computed XRD peak list (Cu Ka), based on a DFT-relaxed cell (PBE, the Materials Project).
Neutral-atom scattering factors, no anomalous dispersion.

Crystal structure
```
Y6CoI10
1.0
7.7279 0.0000 0.0000
-2.4464 9.3124 0.0000
-1.1920 -3.3259 9.0791
Y Co I
6 1 10
Cartesian
-0.8292 0.7276 3.8079 Y
-0.7656 4.1637 2.3766 Y
0.3604 3.5968 6.0332 Y
3.7292 2.3896 3.0458 Y
4.8552 1.8227 6.7025 Y
4.9187 5.2589 5.2711 Y
-1.8192 2.9932 4.5395 Co
-1.8544 7.0564 2.9105 I
0.9133 1.7202 1.3855 I
-0.5727 2.2806 8.7471 I
-0.5258 6.3139 7.0205 I
2.0260 0.9495 5.3723 I
2.0635 5.0369 3.7068 I
4.6154 -0.3275 2.0586 I
4.6622 3.7059 0.3319 I
3.1762 4.2663 7.6935 I
5.9440 -1.0699 6.1686 I
```

Largest 6 diffraction maxima, by angle, 2θ = 15–90°:
- 3.564 Å, 25.0 deg, intensity 83
- 3.160 Å, 28.2 deg, intensity 97
- 3.083 Å, 29.0 deg, intensity 100
- 3.048 Å, 29.3 deg, intensity 90
- 2.195 Å, 41.1 deg, intensity 35
- 2.182 Å, 41.4 deg, intensity 33


Zr6CoI14: computed XRD peak list (Cu Ka), based on a DFT-relaxed cell (PBE, the Materials Project).
Neutral-atom scattering factors, no anomalous dispersion.

Crystal structure
```
Zr6CoI14
1.0
8.1358 -7.4807 0.0000
8.1358 7.4807 0.0000
0.0000 0.0000 13.3526
Zr Co I
12 2 28
Cartesian
1.8049 0.9828 11.8375 Zr
8.1358 5.4189 11.9983 Zr
1.8049 -0.9828 1.5151 Zr
6.3309 0.9828 8.1914 Zr
8.1358 2.0618 5.3220 Zr
6.3309 -0.9828 5.1612 Zr
9.9406 0.9828 8.1914 Zr
8.1358 -2.0618 8.0306 Zr
9.9406 -0.9828 5.1612 Zr
14.4667 0.9828 11.8375 Zr
8.1358 -5.4189 1.3543 Zr
14.4667 -0.9828 1.5151 Zr
0.0000 0.0000 0.0000 Co
8.1358 0.0000 6.6763 Co
2.0233 1.3383 3.2779 I
4.0679 2.1948 10.0144 I
6.1307 3.9314 0.1262 I
6.1307 3.5493 6.8025 I
8.1358 5.2234 3.4957 I
2.0233 -1.3383 10.0747 I
4.0669 0.0000 0.0000 I
4.0688 0.0000 6.6763 I
6.1125 1.3383 3.3984 I
8.1358 2.2573 10.1720 I
10.1408 3.9314 0.1262 I
10.1408 3.5493 6.8025 I
4.0679 -2.1948 3.3381 I
6.1125 -1.3383 9.9542 I
10.1591 1.3383 3.3984 I
12.2037 2.1948 10.0144 I
6.1307 -3.5493 6.5501 I
6.1307 -3.9314 13.2263 I
8.1358 -2.2573 3.1806 I
10.1591 -1.3383 9.9542 I
12.2046 0.0000 0.0000 I
12.2027 0.0000 6.6763 I
14.2482 1.3383 3.2779 I
8.1358 -5.2234 9.8568 I
10.1408 -3.5493 6.5501 I
10.1408 -3.9314 13.2263 I
12.2037 -2.1948 3.3381 I
14.2482 -1.3383 10.0747 I
```

Largest 6 diffraction maxima, by angle, 2θ = 15–90°:
- 3.452 Å, 25.8 deg, intensity 41
- 3.263 Å, 27.3 deg, intensity 91
- 3.151 Å, 28.3 deg, intensity 99
- 2.787 Å, 32.1 deg, intensity 100
- 2.126 Å, 42.5 deg, intensity 51
- 1.725 Å, 53.1 deg, intensity 40


In2Co: computed XRD peak list (Cu Ka), based on a DFT-relaxed cell (PBE, the Materials Project).
Neutral-atom scattering factors, no anomalous dispersion.

Crystal structure
```
In2Co
1.0
0.0000 4.7519 8.9433
2.6289 0.0000 8.9433
2.6289 4.7519 0.0000
In Co
8 4
Cartesian
0.6572 1.1880 0.6390 In
0.6572 1.1880 3.8326 In
1.9717 2.0529 6.7075 In
3.2861 4.4288 11.1792 In
1.9717 5.0750 6.7075 In
3.2861 7.4509 11.1792 In
4.6006 8.3158 14.0540 In
4.6006 8.3158 17.2476 In
1.9717 3.5639 4.4119 Co
3.2861 5.9399 8.8836 Co
1.9717 3.5639 9.0031 Co
3.2861 5.9399 13.4748 Co
```

Largest 6 diffraction maxima, by angle, 2θ = 15–90°:
- 2.824 Å, 31.7 deg, intensity 48
- 2.683 Å, 33.4 deg, intensity 68
- 2.524 Å, 35.6 deg, intensity 100
- 2.234 Å, 40.4 deg, intensity 68
- 2.098 Å, 43.1 deg, intensity 50
- 2.046 Å, 44.3 deg, intensity 70


La6InCo13: computed XRD peak list (Cu Ka), based on a DFT-relaxed cell (PBE, the Materials Project).
Neutral-atom scattering factors, no anomalous dispersion.

Crystal structure
```
La6InCo13
1.0
-4.0312 4.0312 11.6201
4.0312 -4.0312 11.6201
4.0312 4.0312 -11.6201
La In Co
12 2 26
Cartesian
2.7218 -1.3094 4.1739 La
0.0000 0.0000 2.3356 La
5.3405 -1.3094 7.4461 La
5.3405 1.3094 4.1739 La
0.0000 0.0000 9.2845 La
2.7218 1.3094 7.4461 La
1.3094 2.7218 4.1739 La
0.0000 0.0000 13.9557 La
-1.3094 2.7218 7.4461 La
-1.3094 5.3405 4.1739 La
0.0000 0.0000 20.9046 La
1.3094 5.3405 7.4461 La
0.0000 0.0000 5.8100 In
0.0000 0.0000 17.4301 In
4.0312 0.0000 0.0000 Co
3.1190 0.9121 -2.0395 Co
1.7218 0.5201 0.0000 Co
5.4583 1.4271 -1.2904 Co
3.1190 0.9121 2.0395 Co
3.5111 -2.3094 11.6201 Co
5.4583 1.4271 1.2904 Co
1.4271 2.6040 -1.2904 Co
3.5111 2.3094 0.0000 Co
3.1190 -0.9121 9.5806 Co
1.4271 2.6040 1.2904 Co
1.7218 -0.5201 11.6201 Co
3.1190 -0.9121 13.6595 Co
0.0000 4.0312 0.0000 Co
0.9121 4.9433 -2.0395 Co
2.3094 4.5512 0.0000 Co
2.6040 1.4271 10.3296 Co
0.9121 4.9433 2.0395 Co
0.5201 1.7218 11.6201 Co
2.6040 1.4271 12.9105 Co
-1.4271 2.6040 10.3296 Co
0.5201 6.3406 0.0000 Co
0.9121 3.1190 9.5806 Co
-1.4271 2.6040 12.9105 Co
2.3094 3.5111 11.6201 Co
0.9121 3.1190 13.6595 Co
```

Largest 6 diffraction maxima, by angle, 2θ = 15–90°:
- 3.269 Å, 27.3 deg, intensity 91
- 2.849 Å, 31.4 deg, intensity 100
- 2.793 Å, 32.0 deg, intensity 51
- 2.550 Å, 35.2 deg, intensity 99
- 2.357 Å, 38.2 deg, intensity 50
- 2.099 Å, 43.1 deg, intensity 68


La12InCo6: computed XRD peak list (Cu Ka), based on a DFT-relaxed cell (PBE, the Materials Project).
Neutral-atom scattering factors, no anomalous dispersion.

Crystal structure
```
La12InCo6
1.0
-5.0790 5.0790 5.0790
5.0790 -5.0790 5.0790
5.0790 5.0790 -5.0790
La In Co
12 1 6
Cartesian
5.0790 -1.9299 3.1636 La
3.1491 1.9154 0.0000 La
7.0089 1.9154 0.0000 La
3.1636 5.0790 -1.9299 La
1.9154 0.0000 3.1491 La
0.0000 3.1491 1.9154 La
5.0790 1.9299 3.1636 La
3.1636 5.0790 1.9299 La
1.9154 0.0000 7.0089 La
-1.9299 3.1636 5.0790 La
1.9299 3.1636 5.0790 La
0.0000 7.0089 1.9154 La
0.0000 0.0000 0.0000 In
5.0790 0.0000 1.1899 Co
5.0790 3.8891 0.0000 Co
1.1899 5.0790 0.0000 Co
3.8891 0.0000 5.0790 Co
0.0000 1.1899 5.0790 Co
0.0000 5.0790 3.8891 Co
```

Largest 6 diffraction maxima, by angle, 2θ = 15–90°:
- 3.212 Å, 27.8 deg, intensity 46
- 2.932 Å, 30.5 deg, intensity 39
- 2.715 Å, 33.0 deg, intensity 100
- 1.992 Å, 45.5 deg, intensity 25
- 1.742 Å, 52.5 deg, intensity 34
- 1.648 Å, 55.8 deg, intensity 34


La3InCoS7: computed XRD peak list (Cu Ka), based on a DFT-relaxed cell (PBE, the Materials Project).
Neutral-atom scattering factors, no anomalous dispersion.

Crystal structure
```
La3InCoS7
1.0
10.1469 0.0000 0.0000
-5.0735 8.7875 0.0000
0.0000 0.0000 6.2580
La In Co S
6 2 2 14
Cartesian
-0.3651 3.2564 0.0000 La
-2.0708 7.4755 0.0000 La
2.6376 1.9443 3.1290 La
2.4359 6.8431 0.0000 La
7.1443 1.3120 3.1290 La
5.4385 5.5311 3.1290 La
0.0000 5.8583 3.5856 In
5.0735 2.9292 0.4566 In
0.0000 0.0000 1.1937 Co
0.0000 0.0000 4.3227 Co
-2.0695 4.9813 4.6212 S
-0.1953 1.9083 2.6960 S
-3.3231 8.0024 2.6960 S
1.5550 1.1233 5.8250 S
0.0000 5.8583 1.1716 S
1.7943 4.5046 4.6212 S
0.2753 8.0891 4.6212 S
4.7982 0.6984 1.4922 S
3.2792 4.2829 1.4922 S
5.0735 2.9292 4.3006 S
3.5184 7.6642 2.6960 S
8.3966 0.7851 5.8250 S
5.2687 6.8791 5.8250 S
7.1430 3.8062 1.4922 S
```

Largest 6 diffraction maxima, by angle, 2θ = 15–90°:
- 3.596 Å, 24.8 deg, intensity 100
- 2.653 Å, 33.8 deg, intensity 22
- 2.549 Å, 35.2 deg, intensity 35
- 2.537 Å, 35.4 deg, intensity 42
- 2.073 Å, 43.7 deg, intensity 17
- 1.884 Å, 48.3 deg, intensity 19